[1]
Structure and calculated X-ray diffraction stick pattern of Pu3Np2S8 (a structure optimized by DFT (PBE); Cu Kα X-rays).
No peak broadening, texture or thermal motion is included.

Cell and atoms:
```
data_Pu3Np2S8
_chemical_formula_sum 'Pu6 Np4 S16'
_space_group_name_H-M_alt 'C m m m'
_space_group_IT_number 65
_space_group_name_Hall '-C 2 2'
_cell_length_a 9.4280
_cell_length_b 13.2816
_cell_length_c 4.7025
_cell_angle_alpha 90.00
_cell_angle_beta 90.00
_cell_angle_gamma 90.00
loop_
_atom_site_label
_atom_site_type_symbol
_atom_site_fract_x
_atom_site_fract_y
_atom_site_fract_z
Pu1 Pu 0.0000 0.0000 0.0000
Pu2 Pu 0.2236 0.5000 0.5000
Np1 Np 0.0000 0.2636 0.0000
S1 S 0.0000 0.1194 0.5000
S2 S 0.0000 0.3702 0.5000
S3 S 0.2422 0.1240 0.0000
```

Principal peaks in the range 2θ = 10–90°, in order of rising 2θ:
index, 2theta, I/Imax
1 3 0, 22.17, 24.0
0 2 1, 23.16, 87.3
2 0 1, 26.80, 74.0
1 3 1, 29.26, 27.3
0 0 2, 38.23, 50.5
2 4 1, 38.28, 100.0
2 2 2, 45.18, 26.7
0 4 2, 47.34, 21.2
4 0 2, 55.18, 16.2
2 4 3, 69.23, 32.9

[2]
Structure and calculated X-ray diffraction stick pattern of Y2Ga4Cu3Ni (a structure optimized by DFT (PBE); Cu Kα X-rays).
No peak broadening, texture or thermal motion is included.

Cell and atoms:
```
data_Y2Ga4Cu3Ni
_chemical_formula_sum 'Y2 Ga4 Cu3 Ni1'
_space_group_name_H-M_alt 'P -4 m 2'
_space_group_IT_number 115
_cell_length_a 4.1072
_cell_length_b 4.1072
_cell_length_c 10.1279
_cell_angle_alpha 90.00
_cell_angle_beta 90.00
_cell_angle_gamma 90.00
loop_
_space_group_symop_operation_xyz
'x,y,z'
'y,-x,-z'
'-x,-y,z'
'-y,x,-z'
'-x,y,z'
'-y,-x,-z'
'x,-y,z'
'y,x,-z'
loop_
_atom_site_label
_atom_site_type_symbol
_atom_site_fract_x
_atom_site_fract_y
_atom_site_fract_z
Y1 Y 0.0000 0.5000 0.2440
Ga1 Ga 0.0000 0.0000 0.5000
Ga2 Ga 0.0000 0.5000 0.8747
Ga3 Ga 0.5000 0.5000 0.5000
Cu1 Cu 0.0000 0.0000 0.0000
Cu2 Cu 0.0000 0.5000 0.6378
Ni1 Ni 0.5000 0.5000 0.0000
```

Principal peaks in the range 2θ = 10–90°, in order of rising 2θ:
index, 2theta, I/Imax
1 0 3, 34.39, 59.2
1 1 2, 35.64, 100.0
2 0 0, 44.10, 64.5
1 1 4, 47.65, 26.4
1 0 5, 50.22, 26.2
2 1 3, 57.08, 26.2
1 1 6, 63.77, 11.3
2 2 0, 64.13, 20.0
2 1 5, 69.02, 19.2
3 1 2, 75.58, 20.3

[3]
Structure and calculated X-ray diffraction stick pattern of Tb12SnRu6 (a structure optimized by DFT (PBE); Cu Kα X-rays).
No peak broadening, texture or thermal motion is included.

Cell and atoms:
```
data_Tb12SnRu6
_chemical_formula_sum 'Tb24 Sn2 Ru12'
_space_group_name_H-M_alt 'I m -3'
_space_group_IT_number 204
_space_group_name_Hall '-I 2 2 3'
_cell_length_a 9.8757
_cell_length_b 9.8757
_cell_length_c 9.8757
_cell_angle_alpha 90.00
_cell_angle_beta 90.00
_cell_angle_gamma 90.00
loop_
_atom_site_label
_atom_site_type_symbol
_atom_site_fract_x
_atom_site_fract_y
_atom_site_fract_z
Tb1 Tb 0.0000 0.1947 0.2961
Sn1 Sn 0.0000 0.0000 0.0000
Ru1 Ru 0.0000 0.3763 0.5000
```

Principal peaks in the range 2θ = 10–90°, in order of rising 2θ:
index, 2theta, I/Imax
3 1 0, 28.58, 16.3
2 2 2, 31.38, 44.5
3 2 1, 33.97, 100.0
4 0 0, 36.39, 21.7
5 1 0, 46.91, 23.7
5 0 3, 54.15, 25.2
5 3 2, 57.53, 31.2
5 4 3, 67.01, 19.7
8 2 2, 82.96, 12.8
7 5 0, 84.37, 16.7

[4]
Structure and calculated X-ray diffraction stick pattern of La5OsPb2 (a structure optimized by DFT (PBE); Cu Kα X-rays).
No peak broadening, texture or thermal motion is included.

Cell and atoms:
```
data_La5OsPb2
_chemical_formula_sum 'La10 Os2 Pb4'
_space_group_name_H-M_alt 'P b a m'
_space_group_IT_number 55
_cell_length_a 8.4368
_cell_length_b 12.8160
_cell_length_c 4.8196
_cell_angle_alpha 90.00
_cell_angle_beta 90.00
_cell_angle_gamma 90.00
loop_
_space_group_symop_operation_xyz
'x,y,z'
'-x,-y,-z'
'-x,-y,z'
'x,y,-z'
'x+1/2,-y+1/2,-z'
'-x+1/2,y+1/2,z'
'-x+1/2,y+1/2,-z'
'x+1/2,-y+1/2,z'
loop_
_atom_site_label
_atom_site_type_symbol
_atom_site_fract_x
_atom_site_fract_y
_atom_site_fract_z
La1 La 0.0000 0.0000 0.0000
La2 La 0.1284 0.3028 0.0000
La3 La 0.1871 0.5642 0.5000
Os1 Os 0.0000 0.5000 0.0000
Pb1 Pb 0.0827 0.8286 0.5000
```

Principal peaks in the range 2θ = 10–90°, in order of rising 2θ:
index, 2theta, I/Imax
2 1 1, 28.98, 100.0
1 4 0, 29.82, 54.5
1 3 1, 29.89, 55.6
2 2 1, 31.45, 65.3
0 4 1, 33.59, 25.8
3 2 0, 34.84, 20.7
0 0 2, 37.31, 50.5
1 5 1, 41.30, 24.2
2 6 0, 47.75, 19.6
1 4 2, 48.48, 28.5

[5]
Structure and calculated X-ray diffraction stick pattern of Al2CuNi2 (a structure optimized by DFT (PBE); Cu Kα X-rays).
No peak broadening, texture or thermal motion is included.

Cell and atoms:
```
data_Al2CuNi2
_chemical_formula_sum 'Al8 Cu4 Ni8'
_space_group_name_H-M_alt 'C 1 2/c 1'
_space_group_IT_number 15
_cell_length_a 8.7973
_cell_length_b 4.5374
_cell_length_c 6.6178
_cell_angle_alpha 90.00
_cell_angle_beta 112.05
_cell_angle_gamma 90.00
loop_
_space_group_symop_operation_xyz
'x,y,z'
'-x,-y,-z'
'-x,y,-z+1/2'
'x,-y,z+1/2'
'x+1/2,y+1/2,z'
'-x+1/2,-y+1/2,-z'
'-x+1/2,y+1/2,-z+1/2'
'x+1/2,-y+1/2,z+1/2'
loop_
_atom_site_label
_atom_site_type_symbol
_atom_site_fract_x
_atom_site_fract_y
_atom_site_fract_z
Al1 Al 0.1817 0.1564 0.1472
Cu1 Cu 0.0000 0.1829 0.7500
Ni1 Ni 0.1086 0.3475 0.4583
```

Principal peaks in the range 2θ = 10–90°, in order of rising 2θ:
index, 2theta, I/Imax
2 0 0, 21.80, 25.7
1 1 1, 28.96, 32.2
0 2 0, 39.73, 18.5
1 1 2, 40.33, 53.6
4 0 -2, 43.08, 72.9
2 2 -1, 45.44, 100.0
3 1 1, 45.88, 85.7
1 1 -3, 46.09, 88.4
1 3 2, 72.52, 27.6
3 3 -4, 88.39, 16.0

[6]
Structure and calculated X-ray diffraction stick pattern of Ca3Zn3Ni2 (a structure optimized by DFT (PBE); Cu Kα X-rays).
No peak broadening, texture or thermal motion is included.

Cell and atoms:
```
data_Ca3Zn3Ni2
_chemical_formula_sum 'Ca12 Zn12 Ni8'
_space_group_name_H-M_alt 'P n m a'
_space_group_IT_number 62
_cell_length_a 7.7834
_cell_length_b 15.0296
_cell_length_c 5.7082
_cell_angle_alpha 90.00
_cell_angle_beta 90.00
_cell_angle_gamma 90.00
loop_
_space_group_symop_operation_xyz
'x,y,z'
'-x,-y,-z'
'-x+1/2,-y,z+1/2'
'x+1/2,y,-z+1/2'
'x+1/2,-y+1/2,-z+1/2'
'-x+1/2,y+1/2,z+1/2'
'-x,y+1/2,-z'
'x,-y+1/2,z'
loop_
_atom_site_label
_atom_site_type_symbol
_atom_site_fract_x
_atom_site_fract_y
_atom_site_fract_z
Ca1 Ca 0.0385 0.1072 0.1159
Ca2 Ca 0.1804 0.2500 0.6221
Zn1 Zn 0.1663 0.7500 0.5901
Zn2 Zn 0.1706 0.0373 0.6078
Ni1 Ni 0.1211 0.6042 0.3852
```

Principal peaks in the range 2θ = 10–90°, in order of rising 2θ:
index, 2theta, I/Imax
0 2 0, 11.78, 19.0
1 0 1, 19.28, 32.8
0 3 1, 23.63, 22.0
2 4 0, 33.13, 33.6
2 4 1, 36.79, 45.3
3 0 1, 38.09, 100.0
1 4 2, 41.39, 41.9
1 7 1, 46.68, 28.9
2 7 0, 48.43, 19.3
2 4 3, 59.40, 19.3

[7]
Structure and calculated X-ray diffraction stick pattern of Cs7Cl2O2 (a structure optimized by DFT (PBE); Cu Kα X-rays).
No peak broadening, texture or thermal motion is included.

Cell and atoms:
```
data_Cs7Cl2O2
_chemical_formula_sum 'Cs14 Cl4 O4'
_space_group_name_H-M_alt 'C 1 2/m 1'
_space_group_IT_number 12
_cell_length_a 9.9558
_cell_length_b 14.9907
_cell_length_c 8.1893
_cell_angle_alpha 90.00
_cell_angle_beta 99.80
_cell_angle_gamma 90.00
loop_
_space_group_symop_operation_xyz
'x,y,z'
'-x,-y,-z'
'-x,y,-z'
'x,-y,z'
'x+1/2,y+1/2,z'
'-x+1/2,-y+1/2,-z'
'-x+1/2,y+1/2,-z'
'x+1/2,-y+1/2,z'
loop_
_atom_site_label
_atom_site_type_symbol
_atom_site_fract_x
_atom_site_fract_y
_atom_site_fract_z
Cs1 Cs 0.0000 0.0000 0.0000
Cs2 Cs 0.0722 0.5000 0.7963
Cs3 Cs 0.2312 0.1546 0.7143
Cl1 Cl 0.0000 0.3179 0.5000
O1 O 0.2299 0.5000 0.1118
```

Principal peaks in the range 2θ = 10–90°, in order of rising 2θ:
index, 2theta, I/Imax
0 2 1, 16.14, 49.8
1 1 1, 16.46, 35.6
2 2 0, 21.65, 35.5
1 3 -1, 22.04, 100.0
1 1 -2, 23.14, 34.5
1 3 1, 23.55, 63.8
3 1 -1, 28.28, 61.1
2 4 0, 30.01, 39.5
1 3 2, 31.04, 38.4
0 6 0, 35.94, 28.6

[8]
Structure and calculated X-ray diffraction stick pattern of InPd8Au2 (a structure optimized by DFT (PBE); Cu Kα X-rays).
No peak broadening, texture or thermal motion is included.

Cell and atoms:
```
data_InPd8Au2
_chemical_formula_sum 'In2 Pd16 Au4'
_space_group_name_H-M_alt 'C m m m'
_space_group_IT_number 65
_space_group_name_Hall '-C 2 2'
_cell_length_a 8.1457
_cell_length_b 10.7899
_cell_length_c 4.3520
_cell_angle_alpha 90.00
_cell_angle_beta 90.00
_cell_angle_gamma 90.00
loop_
_atom_site_label
_atom_site_type_symbol
_atom_site_fract_x
_atom_site_fract_y
_atom_site_fract_z
In1 In 0.0000 0.0000 0.0000
Pd1 Pd 0.0000 0.2421 0.0000
Pd2 Pd 0.1680 0.1322 0.5000
Pd3 Pd 0.1691 0.5000 0.0000
Au1 Au 0.0000 0.3757 0.5000
```

Principal peaks in the range 2θ = 10–90°, in order of rising 2θ:
index, 2theta, I/Imax
2 0 0, 21.82, 18.2
0 4 1, 39.30, 100.0
3 1 1, 40.02, 85.5
0 0 2, 41.50, 43.5
3 3 0, 41.68, 38.5
3 5 0, 54.30, 16.9
3 3 2, 60.27, 25.6
3 5 2, 70.58, 15.2
0 4 3, 74.23, 15.1
6 4 1, 82.59, 23.0

[9]
Structure and calculated X-ray diffraction stick pattern of AcH (a structure optimized by DFT (PBE); Cu Kα X-rays).
No peak broadening, texture or thermal motion is included.

Cell and atoms:
```
data_AcH
_chemical_formula_sum 'Ac4 H4'
_space_group_name_H-M_alt 'F m -3 m'
_space_group_IT_number 225
_space_group_name_Hall '-F 4 2 3'
_cell_length_a 5.5227
_cell_length_b 5.5227
_cell_length_c 5.5227
_cell_angle_alpha 90.00
_cell_angle_beta 90.00
_cell_angle_gamma 90.00
loop_
_atom_site_label
_atom_site_type_symbol
_atom_site_fract_x
_atom_site_fract_y
_atom_site_fract_z
Ac1 Ac 0.0000 0.0000 0.0000
H1 H 0.0000 0.0000 0.5000
```

Principal peaks in the range 2θ = 10–90°, in order of rising 2θ:
index, 2theta, I/Imax
1 1 1, 27.98, 100.0
2 0 0, 32.42, 53.1
2 2 0, 46.51, 39.8
3 1 1, 55.16, 47.8
2 2 2, 57.84, 14.1
4 0 0, 67.89, 6.6
3 3 1, 74.96, 19.7
4 2 0, 77.26, 18.4
4 2 2, 86.29, 14.3

[10]
Structure and calculated X-ray diffraction stick pattern of Pr2DyYTh (a structure optimized by DFT (PBE); Cu Kα X-rays).
No peak broadening, texture or thermal motion is included.

Cell and atoms:
```
data_Pr2DyYTh
_chemical_formula_sum 'Pr4 Dy2 Y2 Th2'
_space_group_name_H-M_alt 'P 1 2/c 1'
_space_group_IT_number 13
_cell_length_a 6.3613
_cell_length_b 8.5751
_cell_length_c 6.6133
_cell_angle_alpha 90.00
_cell_angle_beta 103.25
_cell_angle_gamma 90.00
loop_
_space_group_symop_operation_xyz
'x,y,z'
'-x,-y,-z'
'-x,y,-z+1/2'
'x,-y,z+1/2'
loop_
_atom_site_label
_atom_site_type_symbol
_atom_site_fract_x
_atom_site_fract_y
_atom_site_fract_z
Pr1 Pr 0.2174 0.1763 0.1588
Dy1 Dy 0.0000 0.4135 0.7500
Y1 Y 0.5000 0.1636 0.7500
Th1 Th 0.5000 0.5000 0.0000
```

Principal peaks in the range 2θ = 10–90°, in order of rising 2θ:
index, 2theta, I/Imax
0 1 0, 10.32, 73.3
0 2 1, 24.95, 39.1
1 1 -2, 30.07, 100.0
1 2 1, 30.46, 54.4
2 1 0, 30.70, 67.2
2 1 -1, 30.85, 61.2
0 3 0, 31.29, 59.2
1 0 2, 34.22, 44.5
1 2 -2, 35.22, 58.0
2 2 0, 35.79, 60.8

[11]
Structure and calculated X-ray diffraction stick pattern of CaHf2H8 (a structure optimized by DFT (PBE); Cu Kα X-rays).
No peak broadening, texture or thermal motion is included.

Cell and atoms:
```
data_CaHf2H8
_chemical_formula_sum 'Ca2 Hf4 H16'
_space_group_name_H-M_alt 'C 1 2/m 1'
_space_group_IT_number 12
_cell_length_a 6.0356
_cell_length_b 9.1577
_cell_length_c 3.6553
_cell_angle_alpha 90.00
_cell_angle_beta 96.88
_cell_angle_gamma 90.00
loop_
_space_group_symop_operation_xyz
'x,y,z'
'-x,-y,-z'
'-x,y,-z'
'x,-y,z'
'x+1/2,y+1/2,z'
'-x+1/2,-y+1/2,-z'
'-x+1/2,y+1/2,-z'
'x+1/2,-y+1/2,z'
loop_
_atom_site_label
_atom_site_type_symbol
_atom_site_fract_x
_atom_site_fract_y
_atom_site_fract_z
Ca1 Ca 0.0000 0.0000 0.0000
Hf1 Hf 0.0000 0.3269 0.5000
H1 H 0.0000 0.2502 0.0000
H2 H 0.1089 0.5000 0.7832
H3 H 0.1741 0.1398 0.5344
```

Principal peaks in the range 2θ = 10–90°, in order of rising 2θ:
index, 2theta, I/Imax
1 1 0, 17.69, 43.3
0 2 0, 19.39, 30.2
0 0 1, 24.53, 68.0
1 1 -1, 28.89, 39.6
2 0 0, 29.82, 67.4
0 2 1, 31.46, 43.8
1 1 1, 31.86, 30.0
1 3 0, 32.93, 100.0
1 3 -1, 40.34, 35.6
1 3 1, 42.61, 31.6

[12]
Structure and calculated X-ray diffraction stick pattern of La6PmNd2Sc (a structure optimized by DFT (PBE); Cu Kα X-rays).
No peak broadening, texture or thermal motion is included.

Cell and atoms:
```
data_La6PmNd2Sc
_chemical_formula_sum 'La12 Pm2 Nd4 Sc2'
_space_group_name_H-M_alt 'C 1 2/m 1'
_space_group_IT_number 12
_cell_length_a 10.1708
_cell_length_b 7.4157
_cell_length_c 9.4655
_cell_angle_alpha 90.00
_cell_angle_beta 99.03
_cell_angle_gamma 90.00
loop_
_space_group_symop_operation_xyz
'x,y,z'
'-x,-y,-z'
'-x,y,-z'
'x,-y,z'
'x+1/2,y+1/2,z'
'-x+1/2,-y+1/2,-z'
'-x+1/2,y+1/2,-z'
'x+1/2,-y+1/2,z'
loop_
_atom_site_label
_atom_site_type_symbol
_atom_site_fract_x
_atom_site_fract_y
_atom_site_fract_z
La1 La 0.1318 0.2245 0.2665
La2 La 0.1342 0.0000 0.6243
Pm1 Pm 0.0000 0.5000 0.5000
Nd1 Nd 0.1555 0.5000 0.9468
Sc1 Sc 0.0000 0.0000 0.0000
```

Principal peaks in the range 2θ = 10–90°, in order of rising 2θ:
index, 2theta, I/Imax
2 0 1, 21.36, 24.6
1 1 2, 25.28, 66.0
3 1 -1, 29.46, 39.7
2 2 -1, 30.60, 100.0
0 2 2, 30.78, 88.6
2 0 -3, 31.32, 63.2
3 1 1, 32.13, 40.3
2 2 1, 32.34, 33.2
4 0 0, 35.76, 23.2
4 2 -4, 55.18, 24.0